The following is a calculated powder diffractogram of La8Pr6Al. It was derived from DFT lattice parameters and positions (GGA-PBE), using a wavelength of 1.5418 Å.

Atomic structure:
Unit cell a=9.5333 b=9.5333 c=6.7578 alpha=90.00 beta=90.00 gamma=120.00
Space group P-3 (No. 147)
One atom of each set of equivalent atoms:
La  0.0453  0.2673  0.1837
La  0.3333  0.6667  0.1290
Pr  0.0931  0.4416  0.6634
Al  0.0000  0.0000  0.5000

Principal peaks in the range 2θ from 5° to 70°, in order of rising 2θ:
| 2θ/deg | I (rel.) |
| --- | --- |
| 28.6 | 49 |
| 31.6 | 100 |
| 32.5 | 39 |
| 45.9 | 12 |
| 50.0 | 21 |
| 50.7 | 16 |
| 60.9 | 17 |
| 64.3 | 12 |

---

The following is a calculated powder diffractogram of LaPr3Al2. It was derived from DFT lattice parameters and positions (GGA-PBE), using a wavelength of 1.5418 Å.

Atomic structure:
Unit cell a=5.326 b=9.947 c=6.808 alpha=90.00 beta=90.00 gamma=90.00
Space group Pmc2_1 (No. 26)
One atom of each set of equivalent atoms:
La  0.000  0.048  0.000
Pr  0.000  0.330  0.672
Pr  0.500  0.171  0.286
Pr  0.500  0.452  0.962
Al  0.000  0.350  0.192
Al  0.500  0.151  0.767

Principal peaks in the range 2θ from 5° to 70°, in order of rising 2θ:
| 2θ/deg | I (rel.) |
| --- | --- |
| 22.1 | 24 |
| 23.0 | 38 |
| 27.8 | 39 |
| 31.8 | 100 |
| 32.5 | 75 |
| 33.7 | 43 |
| 47.0 | 22 |
| 57.6 | 23 |

---

The following is a calculated powder diffractogram of LaPr3Al. It was derived from DFT lattice parameters and positions (GGA-PBE), using a wavelength of 1.5418 Å.

Atomic structure:
Unit cell a=3.838 b=8.797 c=10.120 alpha=77.01 beta=79.09 gamma=89.96
Space group P-1 (No. 2)
One atom of each set of equivalent atoms:
La  0.096  0.036  0.313
Pr  0.301  0.182  0.896
Pr  0.314  0.618  0.871
Pr  0.498  0.700  0.504
Al  0.102  0.568  0.297

Principal peaks in the range 2θ from 5° to 70°, in order of rising 2θ:
| 2θ/deg | I (rel.) |
| --- | --- |
| 25.4 | 15 |
| 30.6 | 45 |
| 30.9 | 100 |
| 32.9 | 65 |
| 46.6 | 13 |
| 47.4 | 12 |
| 57.5 | 25 |
| 57.6 | 21 |

---

The following is a calculated powder diffractogram of La5PrAl2. It was derived from DFT lattice parameters and positions (GGA-PBE), using a wavelength of 1.5418 Å.

Atomic structure:
Unit cell a=5.5039 b=5.5039 c=20.6990 alpha=90.00 beta=90.00 gamma=120.00
Space group P6_3/mmc (No. 194)
One atom of each set of equivalent atoms:
La  0.0000  0.0000  0.1509
La  0.3333  0.6667  0.0541
La  0.3333  0.6667  0.2500
Pr  0.3333  0.6667  0.7500
Al  0.3333  0.6667  0.6000

Principal peaks in the range 2θ from 5° to 70°, in order of rising 2θ:
| 2θ/deg | I (rel.) |
| --- | --- |
| 25.4 | 64 |
| 28.6 | 19 |
| 32.0 | 54 |
| 32.5 | 100 |
| 46.3 | 19 |
| 55.6 | 33 |
| 57.7 | 20 |
| 58.1 | 19 |

---

The following is a calculated powder diffractogram of LaPrAlZn. It was derived from DFT lattice parameters and positions (GGA-PBE), using a wavelength of 1.5418 Å.

Atomic structure:
Unit cell a=3.719 b=3.719 c=7.665 alpha=90.00 beta=90.00 gamma=90.00
Space group P4mm (No. 99)
One atom of each set of equivalent atoms:
La  0.000  0.000  0.000
Pr  0.000  0.000  0.506
Al  0.500  0.500  0.257
Zn  0.500  0.500  0.744

Principal peaks in the range 2θ from 5° to 70°, in order of rising 2θ:
| 2θ/deg | I (rel.) |
| --- | --- |
| 23.2 | 15 |
| 23.9 | 27 |
| 33.6 | 100 |
| 34.1 | 48 |
| 41.7 | 13 |
| 49.0 | 17 |
| 59.7 | 19 |
| 60.7 | 36 |

---

The following is a calculated powder diffractogram of Rb3La3AlTe8. It was derived from DFT lattice parameters and positions (GGA-PBE), using a wavelength of 1.5418 Å.

Atomic structure:
Unit cell a=15.880 b=9.156 c=10.275 alpha=90.00 beta=121.03 gamma=90.00
Space group C2/m (No. 12)
One atom of each set of equivalent atoms:
Rb  0.000  0.000  0.000
Rb  0.250  0.250  0.000
La  0.000  0.500  0.500
La  0.250  0.250  0.500
Al  0.000  0.000  0.500
Te  0.012  0.224  0.312
Te  0.212  0.000  0.688
Te  0.236  0.500  0.709

Principal peaks in the range 2θ from 5° to 70°, in order of rising 2θ:
| 2θ/deg | I (rel.) |
| --- | --- |
| 10.0 | 33 |
| 26.2 | 100 |
| 32.8 | 21 |
| 35.4 | 31 |
| 39.3 | 35 |
| 44.1 | 12 |
| 47.9 | 17 |
| 63.6 | 13 |